Computed XRD peak list
Compound: Be2NiF6
Radiation: Cu Kα X-rays
Structure: a GGA+U-relaxed structure
Peak positions follow from Bragg's law for the DFT cell and can differ from measured ones.

Structural model:
a = 9.616 Å, b = 2.840 Å, c = 7.889 Å
α = 90.00°, β = 111.87°, γ = 90.00°
Space group C2/m (No. 12)
Inequivalent atoms, fractional coordinates:
Be1 0.183 0.000 0.211 x4
Ni1 0.000 0.000 0.500 x2
F1 0.056 0.000 0.284 x4
F2 0.157 0.500 0.618 x4
F3 0.181 0.500 0.116 x4

Peak list (10 most intense, 2θ = 10–90°, most intense first)
| 2θ (°) | d/Å | Rel. int. | (hkl) |
| --- | --- | --- | --- |
| 12.1 | 7.321 | 100 | 0 0 1 |
| 25.1 | 3.552 | 40 | 2 0 -2 |
| 27.0 | 3.302 | 40 | 2 0 1 |
| 44.1 | 2.054 | 34 | 3 1 0 |
| 36.7 | 2.450 | 22 | 1 1 1 |
| 19.1 | 4.658 | 18 | 2 0 -1 |
| 33.1 | 2.706 | 17 | 1 1 0 |
| 49.0 | 1.857 | 14 | 3 1 1 |
| 46.1 | 1.971 | 14 | 2 0 -4 |
| 43.8 | 2.067 | 13 | 1 1 2 |